For Ag2SnSb, a crystal structure in Alexandria, relaxed with PBE gives the simulated X-ray powder pattern in this record (copper Kα).
Neutral-atom scattering factors, no anomalous dispersion.

Peak list (8 most intense, 10 to 80 degrees two-theta, in order of rising 2θ)
hkl 1 1 0, 34.56°, I = 56
hkl 1 0 2, 36.07°, I = 100
hkl 2 0 0, 49.69°, I = 20
hkl 0 0 4, 54.11°, I = 8
hkl 2 1 2, 62.92°, I = 38
hkl 1 1 4, 65.81°, I = 17
hkl 2 2 0, 72.91°, I = 6
hkl 2 0 4, 76.51°, I = 11

Structural model:
```
4
Lattice="3.6698 0.0000 0.0000 0.0000 3.6698 0.0000 0.0000 0.0000 6.7796" Properties=species:S:1:pos:R:3 pbc="T T T"
Ag 0.0000 0.0000 1.6865
Ag 0.0000 0.0000 5.0931
Sn 1.8349 1.8349 3.3898
Sb 1.8349 1.8349 0.0000
```